# 1
Structure and simulated powder XRD pattern of MgIn2 (a crystal structure in the Materials Project, relaxed with PBE; λ = 1.5418 Å (Cu Kα)).
Kinematic intensities with the Lorentz-polarization factor, no thermal factor.

Principal peaks in the range 2θ from 10° to 90°, in order of falling intensity:
hkl 3 1 1, 2θ 35.11, I 100
hkl 0 2 0, 2θ 30.08, I 26
hkl 1 1 1, 2θ 24.77, I 26
hkl 0 0 2, 2θ 35.75, I 21
hkl 2 0 0, 2θ 17.26, I 18
hkl 3 1 3, 2θ 63.83, I 17
hkl 0 2 2, 2θ 47.40, I 14
hkl 3 3 2, 2θ 65.94, I 13
hkl 3 3 0, 2θ 53.40, I 12
hkl 6 2 1, 2θ 65.62, I 8

Structural model:
```
data_MgIn2
_cell_length_a 10.269
_cell_length_b 5.948
_cell_length_c 5.023
_cell_angle_alpha 90.00
_cell_angle_beta 90.00
_cell_angle_gamma 90.00
_space_group_name_H-M_alt 'P 1'
_space_group_IT_number 1
loop_
_space_group_symop_operation_xyz
'x,y,z'
loop_
_atom_site_label
_atom_site_type_symbol
_atom_site_fract_x
_atom_site_fract_y
_atom_site_fract_z
Mg1 Mg 0.000 0.169 0.250
Mg2 Mg 0.000 0.831 0.750
Mg3 Mg 0.500 0.331 0.750
Mg4 Mg 0.500 0.669 0.250
In1 In 0.162 0.319 0.750
In2 In 0.162 0.681 0.250
In3 In 0.338 0.181 0.250
In4 In 0.338 0.819 0.750
In5 In 0.662 0.181 0.250
In6 In 0.662 0.819 0.750
In7 In 0.838 0.319 0.750
In8 In 0.838 0.681 0.250
```

---

# 2
Structure and simulated powder XRD pattern of MgIn2 (a crystal structure in the Materials Project, relaxed with PBE; λ = 1.5418 Å (Cu Kα)).
Kinematic intensities with the Lorentz-polarization factor, no thermal factor.

Principal peaks in the range 2θ from 10° to 90°, in order of falling intensity:
hkl 4 0 -2, 2θ 34.27, I 100
hkl 3 1 0, 2θ 35.46, I 84
hkl 1 1 1, 2θ 30.29, I 35
hkl 2 0 -1, 2θ 16.92, I 26
hkl 4 0 1, 2θ 37.68, I 22
hkl 3 1 3, 2θ 56.19, I 18
hkl 2 0 2, 2θ 32.17, I 18
hkl 5 1 -4, 2θ 60.54, I 16
hkl 0 0 1, 2θ 11.64, I 13
hkl 0 2 3, 2θ 65.03, I 12

Structural model:
```
data_MgIn2
_cell_length_a 11.535
_cell_length_b 3.480
_cell_length_c 7.935
_cell_angle_alpha 90.00
_cell_angle_beta 106.63
_cell_angle_gamma 90.00
_space_group_name_H-M_alt 'P 1'
_space_group_IT_number 1
loop_
_space_group_symop_operation_xyz
'x,y,z'
loop_
_atom_site_label
_atom_site_type_symbol
_atom_site_fract_x
_atom_site_fract_y
_atom_site_fract_z
Mg1 Mg 0.000 0.000 0.000
Mg2 Mg 0.176 0.500 0.340
Mg3 Mg 0.500 0.500 0.000
Mg4 Mg 0.676 0.000 0.340
In1 In 0.114 0.500 0.730
In2 In 0.279 0.000 0.065
In3 In 0.335 0.000 0.665
In4 In 0.458 0.500 0.385
In5 In 0.614 0.000 0.730
In6 In 0.779 0.500 0.065
In7 In 0.835 0.500 0.665
In8 In 0.958 0.000 0.385
```